Simulated X-ray powder pattern
Compound: Y3NiI3
Radiation: λ = 1.5418 Å (Cu Kα)
Structure: a cell relaxed with GGA-PBE

Cell and atoms:
Cell lengths 12.068, 12.068, 12.068 Å; angles 90.00, 90.00, 90.00 degrees
Space group I4_132 (No. 214)
Unique sites:
Y1 0.101 0.351 0.125 x24
Ni1 0.125 0.125 0.125 x8
I1 0.116 0.134 0.625 x24

The 8 most intense peaks (10 to 80 degrees two-theta), in order of rising 2θ:
3.484 Å, intensity 15, hkl 2 2 2; 3.225 Å, intensity 28, hkl 3 2 1; 3.017 Å, intensity 100, hkl 4 0 0; 2.573 Å, intensity 17, hkl 3 3 2; 2.133 Å, intensity 66, hkl 4 4 0; 1.742 Å, intensity 21, hkl 4 4 4; 1.642 Å, intensity 15, hkl 7 2 1; 1.349 Å, intensity 21, hkl 8 4 0

---

Simulated X-ray powder pattern
Compound: ZnNiI4
Radiation: λ = 1.5418 Å (Cu Kα)
Structure: a cell relaxed with GGA-PBE

Cell and atoms:
Cell lengths 7.687, 7.687, 9.926 Å; angles 90.00, 90.00, 90.00 degrees
Space group P4_2/mmc (No. 131)
Unique sites:
Zn1 0.000 0.500 0.000 x2
Ni1 0.000 0.000 0.000 x2
I1 0.230 0.233 0.000 x8

The 8 most intense peaks (10 to 80 degrees two-theta), in order of rising 2θ:
7.687 Å, intensity 20, hkl 1 0 0; 4.963 Å, intensity 100, hkl 0 0 2; 3.844 Å, intensity 33, hkl 2 0 0; 3.039 Å, intensity 37, hkl 2 0 2; 2.718 Å, intensity 40, hkl 2 2 0; 2.384 Å, intensity 56, hkl 2 2 2; 1.833 Å, intensity 25, hkl 2 2 4; 1.792 Å, intensity 22, hkl 4 0 2

---

Simulated X-ray powder pattern
Compound: NpI3
Radiation: λ = 1.5418 Å (Cu Kα)
Structure: a cell relaxed with GGA-PBE

Cell and atoms:
Cell lengths 13.792, 7.955, 7.828 Å; angles 90.00, 90.00, 90.00 degrees
Space group Cmcm (No. 63)
Unique sites:
Np1 0.000 0.000 0.000 x4
I1 0.000 0.305 0.250 x4
I2 0.152 0.152 0.750 x8

The 8 most intense peaks (10 to 80 degrees two-theta), in order of rising 2θ:
6.893 Å, intensity 100, hkl 2 0 0; 3.547 Å, intensity 60, hkl 3 1 1; 3.404 Å, intensity 19, hkl 1 1 2; 2.791 Å, intensity 54, hkl 3 1 2; 2.587 Å, intensity 23, hkl 4 0 2; 2.298 Å, intensity 30, hkl 6 0 0; 2.182 Å, intensity 16, hkl 3 1 3; 2.169 Å, intensity 22, hkl 5 1 2